Entry 1:
Diffraction record for V2SiO7. The powder diffraction line list is simulated, not measured: it uses a GGA+U-relaxed structure and Cu Kα (weighted mean of Kα1 and Kα2).
Neutral-atom scattering factors, no anomalous dispersion.

Unit cell a=8.3239 b=8.3239 c=8.3239 alpha=90.00 beta=90.00 gamma=90.00
Element x y z (fractional)
1 V 0.1235 0.1235 0.1235
2 V 0.1235 0.3765 0.6235
3 V 0.3765 0.6235 0.1235
4 V 0.3765 0.8765 0.6235
5 V 0.6235 0.1235 0.3765
6 V 0.6235 0.3765 0.8765
7 V 0.8765 0.6235 0.3765
8 V 0.8765 0.8765 0.8765
9 Si 0.0000 0.0000 0.5000
10 Si 0.0000 0.5000 0.0000
11 Si 0.5000 0.0000 0.0000
12 Si 0.5000 0.5000 0.5000
13 O 0.0000 0.0000 0.0000
14 O 0.0000 0.5000 0.5000
15 O 0.0616 0.1815 0.5952
16 O 0.0616 0.3185 0.0952
17 O 0.0952 0.0616 0.3185
18 O 0.0952 0.4384 0.8185
19 O 0.1815 0.5952 0.0616
20 O 0.1815 0.9048 0.5616
21 O 0.3185 0.0952 0.0616
22 O 0.3185 0.4048 0.5616
23 O 0.4048 0.5616 0.3185
24 O 0.4048 0.9384 0.8185
25 O 0.4384 0.6815 0.5952
26 O 0.4384 0.8185 0.0952
27 O 0.5000 0.0000 0.5000
28 O 0.5000 0.5000 0.0000
29 O 0.5616 0.1815 0.9048
30 O 0.5616 0.3185 0.4048
31 O 0.5952 0.0616 0.1815
32 O 0.5952 0.4384 0.6815
33 O 0.6815 0.5952 0.4384
34 O 0.6815 0.9048 0.9384
35 O 0.8185 0.0952 0.4384
36 O 0.8185 0.4048 0.9384
37 O 0.9048 0.5616 0.1815
38 O 0.9048 0.9384 0.6815
39 O 0.9384 0.6815 0.9048
40 O 0.9384 0.8185 0.4048

Most intense lines, 2θ from 5° to 70°, by intensity:
2θ = 23.90°, intensity 100.0
2θ = 26.22°, intensity 78.3
2θ = 21.35°, intensity 34.0
2θ = 50.23°, intensity 22.0
2θ = 39.01°, intensity 15.7
2θ = 60.96°, intensity 15.1
2θ = 63.19°, intensity 14.3
2θ = 44.90°, intensity 11.6
2θ = 59.83°, intensity 11.1
2θ = 69.63°, intensity 9.1
2θ = 43.49°, intensity 7.8
2θ = 57.53°, intensity 7.7

---

Entry 2:
Diffraction record for V2Si2O7. The powder diffraction line list is simulated, not measured: it uses a GGA+U-relaxed structure and Cu Kα (weighted mean of Kα1 and Kα2).
Neutral-atom scattering factors, no anomalous dispersion.

Unit cell a=6.6194 b=6.6194 c=6.3530 alpha=109.59 beta=109.59 gamma=79.02
Element x y z (fractional)
1 V 0.0619 0.9381 0.7500
2 V 0.4336 0.5664 0.7500
3 V 0.5664 0.4336 0.2500
4 V 0.9381 0.0619 0.2500
5 Si 0.0500 0.5448 0.2767
6 Si 0.4552 0.9500 0.2233
7 Si 0.5448 0.0500 0.7767
8 Si 0.9500 0.4552 0.7233
9 O 0.0000 0.5000 0.0000
10 O 0.0096 0.1951 0.6144
11 O 0.1107 0.6143 0.7158
12 O 0.1951 0.0096 0.1144
13 O 0.3079 0.4752 0.3836
14 O 0.3857 0.8893 0.7842
15 O 0.4752 0.3079 0.8836
16 O 0.5000 0.0000 0.5000
17 O 0.5248 0.6921 0.1164
18 O 0.6143 0.1107 0.2158
19 O 0.6921 0.5248 0.6164
20 O 0.8049 0.9904 0.8856
21 O 0.8893 0.3857 0.2842
22 O 0.9904 0.8049 0.3856

Most intense lines, 2θ from 5° to 70°, by intensity:
2θ = 28.74°, intensity 100.0
2θ = 28.43°, intensity 52.0
2θ = 31.27°, intensity 47.1
2θ = 55.95°, intensity 27.4
2θ = 17.73°, intensity 25.2
2θ = 41.81°, intensity 23.7
2θ = 45.47°, intensity 20.3
2θ = 35.07°, intensity 20.1
2θ = 43.94°, intensity 16.5
2θ = 49.23°, intensity 15.9
2θ = 66.64°, intensity 13.4
2θ = 19.30°, intensity 13.3

---

Entry 3:
Diffraction record for VSi2O6. The powder diffraction line list is simulated, not measured: it uses a GGA+U-relaxed structure and Cu Kα (weighted mean of Kα1 and Kα2).
Neutral-atom scattering factors, no anomalous dispersion.

Unit cell a=5.3673 b=8.7365 c=9.3264 alpha=90.87 beta=103.37 gamma=90.71
Element x y z (fractional)
1 V 0.0060 0.3517 0.2494
2 V 0.4930 0.1484 0.2505
3 V 0.5070 0.8516 0.7495
4 V 0.9940 0.6483 0.7506
5 Si 0.2003 0.3376 0.9498
6 Si 0.2013 0.6684 0.4528
7 Si 0.2987 0.8319 0.0471
8 Si 0.2998 0.1621 0.5502
9 Si 0.7002 0.8379 0.4498
10 Si 0.7013 0.1681 0.9529
11 Si 0.7987 0.3316 0.5472
12 Si 0.7997 0.6624 0.0502
13 O 0.0678 0.2455 0.6051
14 O 0.0676 0.7588 0.1100
15 O 0.1612 0.4909 0.3875
16 O 0.1732 0.5098 0.8891
17 O 0.2210 0.8203 0.8639
18 O 0.2350 0.1786 0.3662
19 O 0.2644 0.3212 0.1338
20 O 0.2794 0.6797 0.6360
21 O 0.3270 0.9899 0.6109
22 O 0.3383 0.0095 0.1121
23 O 0.4320 0.2540 0.8948
24 O 0.4325 0.7416 0.3900
25 O 0.5675 0.2584 0.6100
26 O 0.5680 0.7460 0.1052
27 O 0.6617 0.9905 0.8879
28 O 0.6730 0.0101 0.3891
29 O 0.7206 0.3203 0.3640
30 O 0.7356 0.6788 0.8662
31 O 0.7650 0.8214 0.6338
32 O 0.7790 0.1797 0.1361
33 O 0.8268 0.4902 0.1109
34 O 0.8388 0.5091 0.6125
35 O 0.9324 0.2412 0.8900
36 O 0.9322 0.7545 0.3949

Most intense lines, 2θ from 5° to 70°, by intensity:
2θ = 20.34°, intensity 100.0
2θ = 29.45°, intensity 96.7
2θ = 30.10°, intensity 92.8
2θ = 35.49°, intensity 75.2
2θ = 25.00°, intensity 73.1
2θ = 19.95°, intensity 72.1
2θ = 19.67°, intensity 69.9
2θ = 31.12°, intensity 63.6
2θ = 31.49°, intensity 60.5
2θ = 14.21°, intensity 45.5
2θ = 41.43°, intensity 43.0
2θ = 13.94°, intensity 42.2